TiNiPt: theoretical X-ray diffraction stick pattern (Cu Kα), based on a DFT-relaxed cell (GGA-PBE, Alexandria).

Structural model:
a = 4.2425 Å, b = 4.2425 Å, c = 2.7028 Å
α = 90.00°, β = 90.00°, γ = 120.00°
Space group P3m1 (No. 156)
Symmetry-distinct sites (fractional):
Ti (0.0000, 0.0000, 0.0000) (multiplicity 1)
Ni (0.3333, 0.6667, 0.8603) (multiplicity 1)
Pt (0.6667, 0.3333, 0.4353) (multiplicity 1)

Principal peaks in the range 10 to 80 degrees two-theta, by angle:
two_theta  intensity  hkl
24.2  605  1 0 0
41.5  1000  1 0 1
42.6  702  1 1 0
49.6  95  2 0 0
55.0  68  1 1 1
61.0  318  0 2 1
67.4  80  2 1 0
74.9  90  0 1 2
77.2  318  2 1 1
78.0  114  3 0 0

***

TiNi2Pt5: theoretical X-ray diffraction stick pattern (Cu Kα), based on a DFT-relaxed cell (GGA-PBE, Alexandria).

Structural model:
a = 5.459 Å, b = 11.007 Å, c = 3.861 Å
α = 90.00°, β = 90.00°, γ = 90.00°
Space group Pbam (No. 55)
Symmetry-distinct sites (fractional):
Ti (0.000, 0.000, 0.000) (multiplicity 2)
Ni (0.242, 0.375, 0.500) (multiplicity 4)
Pt (0.000, 0.500, 0.000) (multiplicity 2)
Pt (0.013, 0.759, 0.000) (multiplicity 4)
Pt (0.240, 0.118, 0.500) (multiplicity 4)

Principal peaks in the range 10 to 80 degrees two-theta, by angle:
two_theta  intensity  hkl
23.0  221  1 2 0
29.3  87  1 3 0
32.7  186  1 2 1
40.2  1000  0 4 1
40.5  996  2 0 1
46.9  637  2 4 0
47.1  328  0 0 2
68.2  97  0 8 0
68.6  407  2 4 2
68.8  99  4 0 0

***

Tl2NiPt: theoretical X-ray diffraction stick pattern (Cu Kα), based on a DFT-relaxed cell (GGA-PBE, Alexandria).

Structural model:
a = 7.117 Å, b = 3.040 Å, c = 7.590 Å
α = 90.00°, β = 102.78°, γ = 90.00°
Space group C2/m (No. 12)
Symmetry-distinct sites (fractional):
Tl (0.242, 0.000, 0.238) (multiplicity 4)
Ni (0.000, 0.500, 0.000) (multiplicity 2)
Pt (0.000, 0.000, 0.500) (multiplicity 2)

Principal peaks in the range 10 to 80 degrees two-theta, by angle:
two_theta  intensity  hkl
31.2  706  2 0 -2
35.4  1000  1 1 1
39.3  366  2 0 2
47.0  452  1 1 -3
48.8  410  3 1 -1
49.2  190  0 0 4
52.8  160  4 0 0
68.8  136  3 1 3
70.1  140  2 2 -2
74.9  225  3 1 -5

***

Tl2NiPt: theoretical X-ray diffraction stick pattern (Cu Kα), based on a DFT-relaxed cell (GGA-PBE, Alexandria).

Structural model:
a = 3.066 Å, b = 4.377 Å, c = 11.775 Å
α = 90.00°, β = 90.00°, γ = 90.00°
Space group Imm2 (No. 44)
Symmetry-distinct sites (fractional):
Tl (0.000, 0.000, 0.000) (multiplicity 2)
Tl (0.000, 0.500, 0.222) (multiplicity 2)
Ni (0.000, 0.000, 0.517) (multiplicity 2)
Pt (0.000, 0.500, 0.831) (multiplicity 2)

Principal peaks in the range 10 to 80 degrees two-theta, by angle:
two_theta  intensity  hkl
30.1  216  1 0 1
30.4  171  0 0 4
30.6  615  0 1 3
39.0  1000  1 1 2
41.2  291  0 2 0
43.6  133  0 1 5
48.8  195  1 0 5
65.7  163  1 2 5
73.7  156  1 3 2
74.8  126  1 1 8